La6FeBi2: calculated powder diffractogram (Cu Kα (weighted mean of Kα1 and Kα2)), based on DFT lattice parameters and positions (PBE).
Lines closer than 0.1° are merged.

Crystal structure
```
data_La6FeBi2
_cell_length_a 7.3745
_cell_length_b 7.3745
_cell_length_c 10.4115
_cell_angle_alpha 90.00
_cell_angle_beta 90.00
_cell_angle_gamma 90.00
_space_group_name_H-M_alt 'P 4/m n c'
_space_group_IT_number 128
_space_group_name_Hall '-P 4 2n'
loop_
_atom_site_label
_atom_site_type_symbol
_atom_site_fract_x
_atom_site_fract_y
_atom_site_fract_z
_atom_site_occupancy
La1 La 0.0000 0.0000 0.2458 1
La2 La 0.2482 0.2509 0.0000 1
Fe1 Fe 0.0000 0.0000 0.5000 1
Bi1 Bi 0.0000 0.5000 0.2500 1
```

The 6 most intense peaks (2θ = 10–90°), sorted by position:
| index | 2θ/deg | intensity |
| --- | --- | --- |
| 2 0 2 | 29.7 | 1000 |
| 2 2 0 | 34.4 | 618 |
| 4 0 0 | 49.5 | 444 |
| 4 2 2 | 58.8 | 442 |
| 4 0 4 | 61.7 | 153 |
| 6 0 2 | 80.3 | 183 |